(1)
Starting from DFT lattice parameters and positions (PBE), the XRD peak list of Ac2Cu6NiPd was calculated for Cu Ka.
Peak positions follow from Bragg's law for the DFT cell and can differ from measured ones.

Main lines, by intensity (2θ from 10° to 80°):
2θ/deg	I (rel.)
32.5	100.0
27.7	92.6
32.4	87.1
34.1	57.3
32.7	45.3
27.8	44.3
52.0	34.3
43.2	32.3
48.9	23.0
52.1	22.5
52.3	21.2
57.1	21.0

Cell and atoms:
```
Ac2Cu6NiPd
1.0
6.428 0.000 0.000
-3.208 5.590 0.000
-3.187 -1.883 5.284
Ac Cu Ni Pd
2 6 1 1
direct
0.107 0.302 0.411
0.893 0.698 0.589
0.018 0.257 0.885
0.371 0.740 0.112
0.375 0.134 0.116
0.625 0.866 0.884
0.629 0.260 0.888
0.982 0.743 0.115
0.500 0.500 0.000
0.500 0.000 0.500
```

=====

(2)
Starting from DFT lattice parameters and positions (PBE), the XRD peak list of Ac2Zn3Cu12Ni was calculated for Cu Ka.
Peak positions follow from Bragg's law for the DFT cell and can differ from measured ones.

Main lines, by intensity (2θ from 10° to 80°):
2θ/deg	I (rel.)
30.1	100.0
34.9	42.3
37.5	37.3
35.5	35.5
44.4	32.9
54.5	26.3
51.2	26.0
58.6	26.0
28.6	23.7
33.0	22.3
41.8	21.8
40.7	21.7

Cell and atoms:
```
Ac2Zn3Cu12Ni
1.0
3.152 1.820 8.891
-3.152 1.820 8.891
0.000 -3.640 8.891
Ac Zn Cu Ni
2 3 12 1
direct
0.153 0.153 0.153
0.847 0.847 0.847
0.000 0.500 0.500
0.500 0.000 0.500
0.500 0.500 0.000
0.081 0.081 0.694
0.081 0.694 0.081
0.158 0.561 0.561
0.306 0.919 0.919
0.439 0.439 0.842
0.439 0.842 0.439
0.561 0.158 0.561
0.561 0.561 0.158
0.694 0.081 0.081
0.842 0.439 0.439
0.919 0.306 0.919
0.919 0.919 0.306
0.500 0.500 0.500
```

=====

(3)
Starting from DFT lattice parameters and positions (PBE), the XRD peak list of AcNpCuO6 was calculated for Cu Ka.
Peak positions follow from Bragg's law for the DFT cell and can differ from measured ones.

Main lines, by intensity (2θ from 10° to 80°):
2θ/deg	I (rel.)
29.6	100.0
27.5	93.3
36.9	77.1
53.7	53.5
21.5	44.9
17.0	42.0
51.2	34.4
40.8	32.8
52.5	30.7
70.7	23.6
78.4	21.8
57.4	21.2

Cell and atoms:
```
AcNpCuO6
1.0
6.035 0.000 0.000
-3.017 5.226 0.000
0.000 0.000 8.276
Ac Np Cu O
2 2 2 12
direct
0.333 0.667 0.250
0.667 0.333 0.750
0.333 0.667 0.750
0.667 0.333 0.250
0.000 0.000 0.000
0.000 0.000 0.500
0.063 0.371 0.620
0.063 0.692 0.880
0.308 0.371 0.880
0.308 0.937 0.620
0.371 0.063 0.120
0.371 0.308 0.380
0.629 0.692 0.620
0.629 0.937 0.880
0.692 0.063 0.380
0.692 0.629 0.120
0.937 0.308 0.120
0.937 0.629 0.380
```

=====

(4)
Starting from DFT lattice parameters and positions (PBE), the XRD peak list of Ac3Cu2O9 was calculated for Cu Ka.
Peak positions follow from Bragg's law for the DFT cell and can differ from measured ones.

Main lines, by intensity (2θ from 10° to 80°):
2θ/deg	I (rel.)
26.8	100.0
32.9	60.9
42.9	50.0
55.1	29.7
43.1	20.7
51.4	15.4
55.2	13.5
58.7	11.7
75.4	11.7
18.8	11.6
65.8	11.1
38.4	10.8

Cell and atoms:
```
Ac3Cu2O9
1.0
4.717 2.723 4.691
-4.717 2.723 4.691
0.000 -5.447 4.691
Ac Cu O
6 4 18
direct
0.091 0.750 0.409
0.250 0.591 0.909
0.409 0.091 0.750
0.591 0.909 0.250
0.750 0.409 0.091
0.909 0.250 0.591
0.158 0.158 0.158
0.342 0.342 0.342
0.658 0.658 0.658
0.842 0.842 0.842
0.082 0.908 0.727
0.090 0.410 0.250
0.092 0.273 0.918
0.227 0.408 0.582
0.250 0.090 0.410
0.273 0.918 0.092
0.408 0.582 0.227
0.410 0.250 0.090
0.418 0.773 0.592
0.582 0.227 0.408
0.590 0.750 0.910
0.592 0.418 0.773
0.727 0.082 0.908
0.750 0.910 0.590
0.773 0.592 0.418
0.908 0.727 0.082
0.910 0.590 0.750
0.918 0.092 0.273
```

=====

(5)
Starting from DFT lattice parameters and positions (PBE), the XRD peak list of Ac3Cu2O6 was calculated for Cu Ka.
Peak positions follow from Bragg's law for the DFT cell and can differ from measured ones.

Main lines, by intensity (2θ from 10° to 80°):
2θ/deg	I (rel.)
31.3	100.0
31.6	70.2
22.7	44.8
56.1	39.7
41.5	36.9
45.4	35.6
38.1	24.1
26.1	17.5
54.3	13.6
25.8	12.5
63.7	12.5
75.1	12.3

Cell and atoms:
```
Ac3Cu2O6
1.0
-1.999 1.999 10.247
1.999 -1.999 10.247
1.999 1.999 -10.247
Ac Cu O
3 2 6
direct
0.000 0.000 0.000
0.176 0.176 0.000
0.824 0.824 0.000
0.413 0.413 0.000
0.587 0.587 0.000
0.084 0.584 0.500
0.294 0.294 0.000
0.416 0.916 0.500
0.584 0.084 0.500
0.706 0.706 0.000
0.916 0.416 0.500
```

=====

(6)
Starting from DFT lattice parameters and positions (PBE), the XRD peak list of AcCu2O3 was calculated for Cu Ka.
Peak positions follow from Bragg's law for the DFT cell and can differ from measured ones.

Main lines, by intensity (2θ from 10° to 80°):
2θ/deg	I (rel.)
30.7	100.0
28.7	86.9
33.3	73.9
21.0	53.7
38.4	43.7
18.0	41.1
48.6	40.1
53.1	35.6
29.3	33.8
43.0	31.2
59.0	24.0
35.3	21.2

Cell and atoms:
```
AcCu2O3
1.0
4.687 0.000 0.000
0.000 9.876 0.000
0.000 0.000 4.007
Ac Cu O
2 4 6
direct
0.250 0.250 0.067
0.750 0.750 0.933
0.250 0.585 0.391
0.250 0.915 0.391
0.750 0.085 0.609
0.750 0.415 0.609
0.250 0.089 0.572
0.250 0.411 0.572
0.250 0.750 0.150
0.750 0.250 0.850
0.750 0.589 0.428
0.750 0.911 0.428
```

=====

(7)
Starting from DFT lattice parameters and positions (PBE), the XRD peak list of AcCu3O4 was calculated for Cu Ka.
Peak positions follow from Bragg's law for the DFT cell and can differ from measured ones.

Main lines, by intensity (2θ from 10° to 80°):
2θ/deg	I (rel.)
37.4	100.0
21.3	54.4
58.6	54.3
34.0	29.8
30.3	25.1
43.5	18.0
63.1	14.4
48.9	13.3
75.7	12.8
71.6	10.4
67.5	8.1
56.3	6.5

Cell and atoms:
```
AcCu3O4
1.0
5.891 0.000 0.000
0.000 5.891 0.000
0.000 0.000 5.891
Ac Cu O
2 6 8
direct
0.000 0.000 0.000
0.500 0.500 0.500
0.000 0.250 0.500
0.000 0.750 0.500
0.250 0.500 0.000
0.500 0.000 0.250
0.500 0.000 0.750
0.750 0.500 0.000
0.250 0.250 0.250
0.250 0.250 0.750
0.250 0.750 0.250
0.250 0.750 0.750
0.750 0.250 0.250
0.750 0.250 0.750
0.750 0.750 0.250
0.750 0.750 0.750
```

=====

(8)
Starting from DFT lattice parameters and positions (PBE), the XRD peak list of AcCu2O6 was calculated for Cu Ka.
Peak positions follow from Bragg's law for the DFT cell and can differ from measured ones.

Main lines, by intensity (2θ from 10° to 80°):
2θ/deg	I (rel.)
26.4	100.0
49.9	31.6
35.4	26.6
58.3	22.0
44.7	22.0
20.2	18.2
56.4	11.1
39.9	10.7
79.4	8.8
63.6	8.2
68.4	7.8
34.0	7.5

Cell and atoms:
```
AcCu2O6
1.0
5.069 0.000 0.000
-2.535 4.390 0.000
0.000 0.000 5.272
Ac Cu O
1 2 6
direct
0.000 0.000 0.000
0.333 0.667 0.500
0.667 0.333 0.500
0.000 0.387 0.705
0.000 0.613 0.295
0.387 0.000 0.705
0.387 0.387 0.295
0.613 0.000 0.295
0.613 0.613 0.705
```